[1]
Structure and calculated X-ray diffraction stick pattern of Y6Ir5Au (a cell relaxed with GGA-PBE; copper Kα).
Neutral-atom scattering factors, no anomalous dispersion.

```
Y6Ir5Au
1.0
4.8319 0.0000 0.0000
0.0000 7.1118 0.0000
-2.3581 0.0000 7.2531
Y Ir Au
6 5 1
Direct
0.0000 0.2424 0.0000
0.0000 0.7576 0.0000
0.3295 0.2480 0.6600
0.3295 0.7520 0.6600
0.6705 0.2480 0.3400
0.6705 0.7520 0.3400
0.1664 0.5000 0.3316
0.1669 0.0000 0.3329
0.5000 0.0000 0.0000
0.8331 0.0000 0.6671
0.8336 0.5000 0.6684
0.5000 0.5000 0.0000
```

Top 10 peaks for 2θ from 10° to 90°, most intense first:
2θ (°)	intensity
36.38	100
36.54	99
37.20	94
65.14	36
66.44	34
51.39	19
66.77	17
66.73	17
53.40	17
53.86	16

***

[2]
Structure and calculated X-ray diffraction stick pattern of Mn2Al2Ag (a cell relaxed with GGA-PBE; copper Kα).
Neutral-atom scattering factors, no anomalous dispersion.

```
Mn2Al2Ag
1.0
7.1959 0.0000 0.0000
0.0000 7.1959 0.0000
0.0000 0.0000 2.8795
Mn Al Ag
4 4 2
Direct
0.1653 0.3347 0.0000
0.3347 0.8347 0.0000
0.6653 0.1653 0.0000
0.8347 0.6653 0.0000
0.1314 0.6314 0.5000
0.3686 0.1314 0.5000
0.6314 0.8686 0.5000
0.8686 0.3686 0.5000
0.0000 0.0000 0.5000
0.5000 0.5000 0.5000
```

Top 10 peaks for 2θ from 10° to 90°, most intense first:
2θ (°)	intensity
39.61	100
42.11	65
40.11	65
35.83	46
35.28	34
17.43	33
78.64	24
63.68	20
74.94	18
57.26	17

***

[3]
Structure and calculated X-ray diffraction stick pattern of Tb3Sm4Tm8 (a cell relaxed with GGA-PBE; copper Kα).
Neutral-atom scattering factors, no anomalous dispersion.

```
Tb3Sm4Tm8
1.0
3.4523 1.9932 11.6949
-3.4523 1.9932 11.6949
0.0000 -3.9864 11.6949
Tb Sm Tm
3 4 8
Direct
0.0000 0.5000 0.5000
0.5000 0.0000 0.5000
0.5000 0.5000 0.0000
0.0000 0.0000 0.0000
0.1634 0.1634 0.1634
0.5000 0.5000 0.5000
0.8366 0.8366 0.8366
0.2501 0.2501 0.7478
0.2501 0.7478 0.2501
0.2522 0.7499 0.7499
0.2550 0.2550 0.2550
0.7450 0.7450 0.7450
0.7478 0.2501 0.2501
0.7499 0.2522 0.7499
0.7499 0.7499 0.2522
```

Top 10 peaks for 2θ from 10° to 90°, most intense first:
2θ (°)	intensity
31.62	100
36.37	73
30.58	55
62.48	43
53.05	36
30.03	23
51.70	23
87.43	17
61.26	16
30.33	15

***

[4]
Structure and calculated X-ray diffraction stick pattern of MnPOsRuSeS (a cell relaxed with GGA-PBE; copper Kα).
Neutral-atom scattering factors, no anomalous dispersion.

```
MnPOsRuSeS
1.0
5.3761 0.0000 0.0000
0.0000 3.3942 0.0000
-2.0126 0.0000 5.2055
Mn P Os Ru Se S
1 1 1 1 1 1
Direct
0.0000 0.0000 0.0000
0.7114 0.5000 0.8237
0.3477 0.5000 0.4438
0.7780 0.5000 0.2607
0.0736 0.0000 0.5918
0.4450 0.0000 0.2032
```

Top 10 peaks for 2θ from 10° to 90°, most intense first:
2θ (°)	intensity
17.03	100
42.29	62
44.95	60
31.47	52
28.83	51
43.15	46
31.84	38
33.01	37
39.93	30
43.83	26

***

[5]
Structure and calculated X-ray diffraction stick pattern of Tm7Tl5 (a cell relaxed with GGA-PBE; copper Kα).
Neutral-atom scattering factors, no anomalous dispersion.

```
Tm7Tl5
1.0
7.5466 -1.8307 0.0000
7.5466 1.8307 0.0000
-6.7990 0.0000 12.6802
Tm Tl
7 5
Direct
0.0000 0.0000 0.0000
0.2189 0.2189 0.6880
0.3594 0.3594 0.5477
0.4033 0.4033 0.1820
0.5967 0.5967 0.8180
0.6406 0.6406 0.4523
0.7811 0.7811 0.3120
0.0000 0.0000 0.5000
0.0910 0.0910 0.2457
0.2994 0.2994 0.9326
0.7006 0.7006 0.0674
0.9090 0.9090 0.7543
```

Top 10 peaks for 2θ from 10° to 90°, most intense first:
2θ (°)	intensity
30.54	100
36.05	75
31.25	72
30.29	66
40.56	48
35.10	44
62.99	37
32.40	35
49.81	35
31.69	34

***

[6]
Structure and calculated X-ray diffraction stick pattern of Ba2AlAg3O8 (a cell relaxed with GGA-PBE; copper Kα).
Neutral-atom scattering factors, no anomalous dispersion.

```
Ba2AlAg3O8
1.0
4.0240 0.0000 0.0000
0.0000 4.0240 0.0000
0.0000 0.0000 12.5592
Ba Al Ag O
2 1 3 8
Direct
0.0000 0.0000 0.1589
0.0000 0.0000 0.8411
0.0000 0.0000 0.5000
0.5000 0.5000 0.0000
0.5000 0.5000 0.3573
0.5000 0.5000 0.6427
0.0000 0.5000 0.0000
0.0000 0.5000 0.4054
0.0000 0.5000 0.5946
0.5000 0.0000 0.0000
0.5000 0.0000 0.4054
0.5000 0.0000 0.5946
0.5000 0.5000 0.1701
0.5000 0.5000 0.8299
```

Top 10 peaks for 2θ from 10° to 90°, most intense first:
2θ (°)	intensity
30.82	100
31.44	46
55.59	37
45.06	30
54.42	20
64.21	10
23.21	10
65.62	9
43.22	9
74.24	8

***

[7]
Structure and calculated X-ray diffraction stick pattern of Cs3SbAs (a cell relaxed with GGA-PBE; copper Kα).
Neutral-atom scattering factors, no anomalous dispersion.

```
Cs3SbAs
1.0
5.5320 -6.4487 0.0000
5.5320 6.4487 0.0000
0.0000 0.0000 6.9860
Cs Sb As
6 2 2
Direct
0.0993 0.9007 0.5000
0.1878 0.4460 0.6796
0.4460 0.1878 0.1796
0.5540 0.8122 0.6796
0.8122 0.5540 0.1796
0.9007 0.0993 0.0000
0.3479 0.6521 0.1807
0.6521 0.3479 0.6807
0.1765 0.8235 0.9828
0.8235 0.1765 0.4828
```

Top 10 peaks for 2θ from 10° to 90°, most intense first:
2θ (°)	intensity
24.74	100
27.66	89
28.22	49
34.05	35
25.11	27
44.80	22
25.63	22
25.50	17
30.26	17
16.02	16